For Pm3AlI3, the GGA-PBE geometry in Alexandria gives the simulated X-ray powder pattern in this record (Cu Ka).
No peak broadening, texture or thermal motion is included.

Atomic structure:
a b c (Å): 12.533 12.533 12.533
angles (deg): 90.00 90.00 90.00
Space group I4_132 (No. 214)
Unique sites:
Pm 0.113 0.363 0.125
Al 0.125 0.125 0.125
I 0.117 0.133 0.625

Largest 8 diffraction maxima, by angle, 2θ = 10–90°:
| index | d (Å) | I/Imax |
| --- | --- | --- |
| 2 1 1 | 5.116 | 14 |
| 3 2 1 | 3.350 | 34 |
| 4 0 0 | 3.133 | 100 |
| 3 3 2 | 2.672 | 18 |
| 4 4 0 | 2.215 | 73 |
| 4 4 4 | 1.809 | 25 |
| 8 4 0 | 1.401 | 29 |
| 8 4 4 | 1.279 | 21 |